1.
The following is a calculated powder X-ray diffraction pattern of TbHo9Th2. It was derived from the GGA-PBE geometry in Alexandria, using Cu Kα (weighted mean of Kα1 and Kα2).

Atomic structure:
```
TbHo9Th2
1.0
11.292 0.000 0.000
-5.646 9.779 0.000
0.000 0.000 3.470
Tb Ho Th
1 9 2
direct
0.000 0.000 0.000 Tb
0.000 0.500 0.000 Ho
0.174 0.348 0.500 Ho
0.174 0.826 0.500 Ho
0.348 0.174 0.500 Ho
0.500 0.000 0.000 Ho
0.500 0.500 0.000 Ho
0.652 0.826 0.500 Ho
0.826 0.174 0.500 Ho
0.826 0.652 0.500 Ho
0.333 0.667 0.000 Th
0.667 0.333 0.000 Th
```

Largest 8 diffraction maxima, sorted by position, 2θ from 5° to 70°:
two_theta	I (rel.)
30.23	22
31.67	100
35.48	12
37.87	13
45.38	10
50.19	11
56.44	24
62.87	20



2.
The following is a calculated powder X-ray diffraction pattern of CaZrBBr2. It was derived from the GGA-PBE geometry in Alexandria, using Cu Kα (weighted mean of Kα1 and Kα2).

Atomic structure:
```
CaZrBBr2
1.0
5.219 0.000 0.000
0.000 5.219 0.000
0.000 0.000 7.446
Ca Zr B Br
1 1 1 2
direct
0.000 0.000 0.000 Ca
0.000 0.000 0.500 Zr
0.500 0.500 0.500 B
0.000 0.500 0.000 Br
0.500 0.000 0.000 Br
```

Largest 8 diffraction maxima, sorted by position, 2θ from 5° to 70°:
two_theta	I (rel.)
11.89	37
16.99	50
23.90	65
26.96	100
29.47	26
34.36	49
42.29	54
43.96	26



3.
The following is a calculated powder X-ray diffraction pattern of CsYSnI6. It was derived from the GGA-PBE geometry in Alexandria, using Cu Kα (weighted mean of Kα1 and Kα2).

Atomic structure:
```
CsYSnI6
1.0
8.137 0.000 0.000
-4.069 7.047 0.000
0.000 0.000 8.496
Cs Y Sn I
1 1 1 6
direct
0.000 0.000 0.000 Cs
0.667 0.333 0.500 Y
0.333 0.667 0.500 Sn
0.381 0.014 0.711 I
0.381 0.367 0.289 I
0.633 0.014 0.289 I
0.633 0.619 0.711 I
0.986 0.367 0.711 I
0.986 0.619 0.289 I
```

Largest 8 diffraction maxima, sorted by position, 2θ from 5° to 70°:
two_theta	I (rel.)
10.41	23
16.34	50
24.25	100
30.42	82
35.31	27
38.32	38
38.74	25
47.75	18



4.
The following is a calculated powder X-ray diffraction pattern of SmAlGeO5. It was derived from the GGA-PBE geometry in Alexandria, using Cu Kα (weighted mean of Kα1 and Kα2).

Atomic structure:
```
SmAlGeO5
1.0
3.324 -4.435 0.000
3.324 4.435 0.000
-2.570 0.000 6.416
Sm Al Ge O
2 2 2 10
direct
0.177 0.823 0.750 Sm
0.823 0.177 0.250 Sm
0.500 0.500 0.000 Al
0.500 0.500 0.500 Al
0.180 0.820 0.250 Ge
0.820 0.180 0.750 Ge
0.129 0.245 0.932 O
0.187 0.599 0.399 O
0.245 0.129 0.432 O
0.401 0.813 0.101 O
0.432 0.568 0.750 O
0.568 0.432 0.250 O
0.599 0.187 0.899 O
0.755 0.871 0.568 O
0.813 0.401 0.601 O
0.871 0.755 0.068 O
```

Largest 8 diffraction maxima, sorted by position, 2θ from 5° to 70°:
two_theta	I (rel.)
20.02	37
27.81	53
28.01	56
28.94	93
31.90	52
33.61	100
34.51	48
40.36	52



5.
The following is a calculated powder X-ray diffraction pattern of Pr6CuAu2. It was derived from the GGA-PBE geometry in Alexandria, using Cu Kα (weighted mean of Kα1 and Kα2).

Atomic structure:
```
Pr6CuAu2
1.0
6.584 0.000 0.000
0.000 7.907 0.000
-6.140 0.000 10.535
Pr Cu Au
12 2 4
direct
0.090 0.207 0.435 Pr
0.090 0.293 0.935 Pr
0.285 0.662 0.443 Pr
0.285 0.838 0.943 Pr
0.392 0.047 0.241 Pr
0.392 0.453 0.741 Pr
0.608 0.547 0.259 Pr
0.608 0.953 0.759 Pr
0.715 0.162 0.057 Pr
0.715 0.338 0.557 Pr
0.910 0.707 0.065 Pr
0.910 0.793 0.565 Pr
0.500 0.000 0.500 Cu
0.500 0.500 0.000 Cu
0.151 0.109 0.728 Au
0.151 0.391 0.228 Au
0.849 0.609 0.772 Au
0.849 0.891 0.272 Au
```

Largest 8 diffraction maxima, sorted by position, 2θ from 5° to 70°:
two_theta	I (rel.)
28.23	67
29.35	85
30.31	100
30.52	48
31.07	80
31.48	51
36.77	69
37.88	47



6.
The following is a calculated powder X-ray diffraction pattern of Na3CrCl6. It was derived from the GGA-PBE geometry in Alexandria, using Cu Kα (weighted mean of Kα1 and Kα2).

Atomic structure:
```
Na3CrCl6
1.0
6.895 0.000 0.000
-3.447 5.971 0.000
0.000 0.000 12.164
Na Cr Cl
6 2 12
direct
0.000 0.000 0.250 Na
0.000 0.000 0.750 Na
0.333 0.667 0.042 Na
0.333 0.667 0.458 Na
0.667 0.333 0.542 Na
0.667 0.333 0.958 Na
0.333 0.667 0.750 Cr
0.667 0.333 0.250 Cr
0.059 0.383 0.635 Cl
0.059 0.677 0.865 Cl
0.323 0.383 0.865 Cl
0.323 0.941 0.635 Cl
0.383 0.059 0.135 Cl
0.383 0.323 0.365 Cl
0.617 0.677 0.635 Cl
0.617 0.941 0.865 Cl
0.677 0.059 0.365 Cl
0.677 0.617 0.135 Cl
0.941 0.323 0.135 Cl
0.941 0.617 0.365 Cl
```

Largest 8 diffraction maxima, sorted by position, 2θ from 5° to 70°:
two_theta	I (rel.)
14.84	21
16.54	74
29.79	100
37.41	23
39.52	60
45.58	36
46.03	30
52.35	22



7.
The following is a calculated powder X-ray diffraction pattern of Zn5SeS4. It was derived from the GGA-PBE geometry in Alexandria, using Cu Kα (weighted mean of Kα1 and Kα2).

Atomic structure:
```
Zn5SeS4
1.0
3.887 0.000 0.000
-1.943 3.366 0.000
0.000 0.000 31.892
Zn Se S
10 2 8
direct
0.000 0.000 0.000 Zn
0.000 0.000 0.196 Zn
0.000 0.000 0.393 Zn
0.000 0.000 0.590 Zn
0.000 0.000 0.795 Zn
0.667 0.333 0.098 Zn
0.667 0.333 0.295 Zn
0.667 0.333 0.491 Zn
0.667 0.333 0.688 Zn
0.667 0.333 0.893 Zn
0.667 0.333 0.766 Se
0.667 0.333 0.971 Se
0.000 0.000 0.074 S
0.000 0.000 0.270 S
0.000 0.000 0.467 S
0.000 0.000 0.664 S
0.000 0.000 0.869 S
0.667 0.333 0.172 S
0.667 0.333 0.369 S
0.667 0.333 0.565 S
```

Largest 8 diffraction maxima, sorted by position, 2θ from 5° to 70°:
two_theta	I (rel.)
26.48	100
27.98	56
30.02	85
38.90	37
46.74	79
50.79	71
55.36	46
56.56	14



8.
The following is a calculated powder X-ray diffraction pattern of Cs2CaVI6. It was derived from the GGA-PBE geometry in Alexandria, using Cu Kα (weighted mean of Kα1 and Kα2).

Atomic structure:
```
Cs2CaVI6
1.0
4.232 2.443 14.188
-4.232 2.443 14.188
0.000 -4.887 14.188
Cs Ca V I
4 2 2 12
direct
0.124 0.124 0.124 Cs
0.296 0.296 0.296 Cs
0.704 0.704 0.704 Cs
0.876 0.876 0.876 Cs
0.415 0.415 0.415 Ca
0.585 0.585 0.585 Ca
0.000 0.000 0.000 V
0.500 0.500 0.500 V
0.139 0.623 0.623 I
0.198 0.198 0.722 I
0.198 0.722 0.198 I
0.278 0.802 0.802 I
0.377 0.377 0.861 I
0.377 0.861 0.377 I
0.623 0.139 0.623 I
0.623 0.623 0.139 I
0.722 0.198 0.198 I
0.802 0.278 0.802 I
0.802 0.802 0.278 I
0.861 0.377 0.377 I
```

Largest 8 diffraction maxima, sorted by position, 2θ from 5° to 70°:
two_theta	I (rel.)
24.65	25
25.11	47
26.48	95
28.43	100
32.23	21
42.73	49
43.79	25
50.20	40



9.
The following is a calculated powder X-ray diffraction pattern of HfAlGa. It was derived from the GGA-PBE geometry in Alexandria, using Cu Kα (weighted mean of Kα1 and Kα2).

Atomic structure:
```
HfAlGa
1.0
2.801 -2.802 0.000
2.801 2.802 0.000
-2.785 0.000 6.802
Hf Al Ga
2 2 2
direct
0.159 0.159 0.321 Hf
0.841 0.841 0.679 Hf
0.000 0.500 0.000 Al
0.500 0.000 0.000 Al
0.361 0.361 0.721 Ga
0.639 0.639 0.279 Ga
```

Largest 8 diffraction maxima, sorted by position, 2θ from 5° to 70°:
two_theta	I (rel.)
13.02	29
26.20	39
29.95	58
31.94	100
34.63	44
39.76	31
41.75	63
45.80	57



10.
The following is a calculated powder X-ray diffraction pattern of Ba2Ga2Au. It was derived from the GGA-PBE geometry in Alexandria, using Cu Kα (weighted mean of Kα1 and Kα2).

Atomic structure:
```
Ba2Ga2Au
1.0
4.288 0.000 0.000
0.000 2.332 7.827
0.000 -2.332 7.827
Ba Ga Au
2 2 1
direct
0.000 0.000 0.000 Ba
0.000 0.237 0.237 Ba
0.500 0.626 0.626 Ga
0.500 0.823 0.823 Ga
0.500 0.406 0.406 Au
```

Largest 8 diffraction maxima, sorted by position, 2θ from 5° to 70°:
two_theta	I (rel.)
11.30	36
28.85	100
30.94	80
33.17	49
34.50	75
38.60	34
50.26	41
55.56	39



11.
The following is a calculated powder X-ray diffraction pattern of AgBiI5. It was derived from the GGA-PBE geometry in Alexandria, using Cu Kα (weighted mean of Kα1 and Kα2).

Atomic structure:
```
AgBiI5
1.0
5.209 -7.416 0.000
5.209 7.416 0.000
-2.381 0.000 8.715
Ag Bi I
2 2 10
direct
0.000 0.000 0.000 Ag
0.000 0.000 0.500 Ag
0.475 0.525 0.750 Bi
0.525 0.475 0.250 Bi
0.112 0.301 0.701 I
0.118 0.882 0.750 I
0.301 0.112 0.201 I
0.345 0.628 0.457 I
0.372 0.655 0.043 I
0.628 0.345 0.957 I
0.655 0.372 0.543 I
0.699 0.888 0.799 I
0.882 0.118 0.250 I
0.888 0.699 0.299 I
```

Largest 8 diffraction maxima, sorted by position, 2θ from 5° to 70°:
two_theta	I (rel.)
11.93	100
17.65	74
21.57	41
26.96	73
30.36	81
34.33	42
35.74	40
39.08	33



12.
The following is a calculated powder X-ray diffraction pattern of BiTe4O12. It was derived from the GGA-PBE geometry in Alexandria, using Cu Kα (weighted mean of Kα1 and Kα2).

Atomic structure:
```
BiTe4O12
1.0
5.568 -4.006 0.000
5.568 4.006 0.000
-5.420 0.000 5.643
Bi Te O
1 4 12
direct
0.000 0.000 0.000 Bi
0.000 0.500 0.000 Te
0.000 0.500 0.500 Te
0.500 0.000 0.000 Te
0.500 0.000 0.500 Te
0.002 0.431 0.725 O
0.234 0.751 0.192 O
0.238 0.238 0.443 O
0.248 0.248 0.054 O
0.249 0.766 0.808 O
0.431 0.002 0.725 O
0.569 0.998 0.275 O
0.751 0.234 0.192 O
0.752 0.752 0.946 O
0.762 0.762 0.557 O
0.766 0.249 0.808 O
0.998 0.569 0.275 O
```

Largest 8 diffraction maxima, sorted by position, 2θ from 5° to 70°:
two_theta	I (rel.)
15.65	95
15.86	87
22.16	80
31.55	98
31.71	51
31.98	100
32.16	49
56.65	44



13.
The following is a calculated powder X-ray diffraction pattern of PmErCuNi. It was derived from the GGA-PBE geometry in Alexandria, using Cu Kα (weighted mean of Kα1 and Kα2).

Atomic structure:
```
PmErCuNi
1.0
4.423 0.000 0.000
0.000 1.874 5.145
0.000 -1.874 5.145
Pm Er Cu Ni
1 1 1 1
direct
0.000 0.000 0.000 Pm
0.500 0.279 0.279 Er
0.500 0.572 0.572 Cu
0.000 0.715 0.715 Ni
```

Largest 8 diffraction maxima, sorted by position, 2θ from 5° to 70°:
two_theta	I (rel.)
26.58	38
32.50	100
34.87	24
35.48	41
40.81	30
41.10	48
48.59	21
55.16	23